Structure and theoretical powder diffractogram of Ba5V5O14 (the GGA+U geometry in the Materials Project; Cu Kα (weighted mean of Kα1 and Kα2)).
Kinematic intensities with the Lorentz-polarization factor, no thermal factor.

Crystal structure
a b c (Å): 5.884 5.884 12.284
angles (deg): 90.00 90.00 120.00
Fractional positions:
Ba 0.000 0.000 0.000
Ba 0.333 0.667 0.433
Ba 0.333 0.667 0.759
Ba 0.667 0.333 0.241
Ba 0.667 0.333 0.567
V 0.000 0.000 0.286
V 0.000 0.000 0.500
V 0.000 0.000 0.714
V 0.333 0.667 0.130
V 0.667 0.333 0.870
O 0.153 0.305 0.603
O 0.153 0.847 0.603
O 0.170 0.340 0.182
O 0.170 0.830 0.182
O 0.305 0.153 0.397
O 0.333 0.667 0.990
O 0.340 0.170 0.818
O 0.660 0.830 0.182
O 0.667 0.333 0.010
O 0.695 0.847 0.603
O 0.830 0.170 0.818
O 0.830 0.660 0.818
O 0.847 0.153 0.397
O 0.847 0.695 0.397

Main lines, sorted by position (2θ from 10° to 90°):
2θ/deg	d [Å]	I_rel	hkl
28.0	3.192	84	0 1 3
30.4	2.942	100	1 1 0
41.8	2.163	44	2 0 3
42.6	2.125	19	1 1 4
47.9	1.900	19	1 0 6
52.5	1.743	27	1 2 3
54.0	1.699	19	3 0 0
63.2	1.471	19	2 2 0
66.7	1.403	14	2 1 6
70.5	1.336	12	3 1 3